Entry 1:
# Ba2Sb2O7
Theoretical XRD peak list, Cu Kα. Input: DFT lattice parameters and positions (GGA-PBE).
No peak broadening, texture or thermal motion is included.

Crystal structure
Cell: 7.774 7.774 7.774 Å, 119.85 92.47 117.34°
Fractional positions:
1 Ba 0.000 0.000 0.000
2 Ba 0.500 0.000 0.000
3 Ba 0.500 0.000 0.500
4 Ba 0.500 0.500 0.500
5 Sb 0.000 0.000 0.500
6 Sb 0.000 0.500 0.000
7 Sb 0.000 0.500 0.500
8 Sb 0.500 0.500 0.000
9 O 0.046 0.227 0.422
10 O 0.046 0.624 0.818
11 O 0.095 0.845 0.250
12 O 0.296 0.708 0.588
13 O 0.306 0.227 0.682
14 O 0.306 0.624 0.078
15 O 0.381 0.292 0.088
16 O 0.619 0.708 0.912
17 O 0.694 0.376 0.922
18 O 0.694 0.773 0.318
19 O 0.704 0.292 0.412
20 O 0.905 0.155 0.750
21 O 0.954 0.376 0.182
22 O 0.954 0.773 0.578

Main lines, most intense first (5° ≤ 2θ ≤ 70°):
| 2theta | I (rel.) |
| --- | --- |
| 27.61 | 100 |
| 28.29 | 94 |
| 46.80 | 55 |
| 31.90 | 52 |
| 53.87 | 33 |
| 55.05 | 28 |

=====

Entry 2:
# SmGdSe2
Theoretical XRD peak list, Cu Kα. Input: DFT lattice parameters and positions (GGA-PBE).
No peak broadening, texture or thermal motion is included.

Crystal structure
Cell: 4.156 4.156 20.527 Å, 90.00 90.00 120.00°
Fractional positions:
1 Sm 0.000 0.000 0.000
2 Sm 0.333 0.667 0.667
3 Sm 0.667 0.333 0.333
4 Gd 0.000 0.000 0.500
5 Gd 0.333 0.667 0.167
6 Gd 0.667 0.333 0.833
7 Se 0.000 0.000 0.249
8 Se 0.000 0.000 0.751
9 Se 0.333 0.667 0.417
10 Se 0.333 0.667 0.916
11 Se 0.667 0.333 0.084
12 Se 0.667 0.333 0.583

Main lines, most intense first (5° ≤ 2θ ≤ 70°):
| 2theta | I (rel.) |
| --- | --- |
| 30.33 | 100 |
| 43.31 | 38 |
| 43.55 | 37 |
| 54.00 | 20 |
| 26.24 | 14 |
| 63.10 | 12 |

=====

Entry 3:
# TbEr4Ni10B10C5
Theoretical XRD peak list, Cu Kα. Input: DFT lattice parameters and positions (GGA-PBE).
No peak broadening, texture or thermal motion is included.

Crystal structure
Cell: 5.803 5.803 17.634 Å, 107.16 107.16 35.42°
Fractional positions:
1 Tb 0.000 0.000 0.000
2 Er 0.200 0.200 0.200
3 Er 0.400 0.400 0.400
4 Er 0.600 0.600 0.600
5 Er 0.800 0.800 0.800
6 Ni 0.100 0.100 0.350
7 Ni 0.100 0.100 0.849
8 Ni 0.300 0.300 0.550
9 Ni 0.301 0.301 0.050
10 Ni 0.500 0.500 0.250
11 Ni 0.500 0.500 0.750
12 Ni 0.699 0.699 0.950
13 Ni 0.700 0.700 0.450
14 Ni 0.900 0.900 0.151
15 Ni 0.900 0.900 0.650
16 B 0.086 0.086 0.729
17 B 0.114 0.114 0.471
18 B 0.285 0.285 0.928
19 B 0.314 0.314 0.671
20 B 0.486 0.486 0.129
21 B 0.514 0.514 0.871
22 B 0.686 0.686 0.329
23 B 0.715 0.715 0.072
24 B 0.886 0.886 0.529
25 B 0.914 0.914 0.271
26 C 0.000 0.000 0.500
27 C 0.200 0.200 0.700
28 C 0.398 0.398 0.898
29 C 0.602 0.602 0.102
30 C 0.800 0.800 0.300

Main lines, most intense first (5° ≤ 2θ ≤ 70°):
| 2theta | I (rel.) |
| --- | --- |
| 26.63 | 100 |
| 39.94 | 78 |
| 40.02 | 78 |
| 34.20 | 56 |
| 36.13 | 48 |
| 51.76 | 40 |